No. 1
Structure and calculated X-ray diffraction stick pattern of Y2ScIrAu (a PBE-relaxed structure; CuKα).
Kinematic intensities with the Lorentz-polarization factor, no thermal factor.

Cell and atoms:
Cell: 5.200 5.200 5.270 Å, 90.00 90.00 90.00°
Fractional positions:
Y 0.000 0.500 0.000
Y 0.500 0.000 0.000
Sc 0.000 0.000 0.500
Ir 0.500 0.500 0.000
Au 0.500 0.500 0.500

Top 6 peaks for 2θ from 10° to 80°, by angle:
d (Å)  Position (°2θ)  Rel. int.
5.200  17.05  100
2.635  34.02  31
2.600  34.49  60
2.351  38.29  28
2.326  38.72  27
1.851  49.23  43

---

No. 2
Structure and calculated X-ray diffraction stick pattern of Dy5ScAl3 (a PBE-relaxed structure; CuKα).
Kinematic intensities with the Lorentz-polarization factor, no thermal factor.

Cell and atoms:
Cell: 8.998 8.998 6.530 Å, 90.00 90.00 120.00°
Fractional positions:
Dy 0.000 0.325 0.250
Dy 0.000 0.675 0.750
Dy 0.325 0.000 0.250
Dy 0.325 0.325 0.750
Dy 0.333 0.667 0.000
Dy 0.333 0.667 0.500
Dy 0.667 0.333 0.000
Dy 0.667 0.333 0.500
Dy 0.675 0.000 0.750
Dy 0.675 0.675 0.250
Sc 0.000 0.000 0.000
Sc 0.000 0.000 0.500
Al 0.000 0.336 0.750
Al 0.000 0.664 0.250
Al 0.336 0.000 0.750
Al 0.336 0.336 0.250
Al 0.664 0.000 0.250
Al 0.664 0.664 0.750

Top 6 peaks for 2θ from 10° to 80°, by angle:
d (Å)  Position (°2θ)  Rel. int.
3.705  24.02  68
2.642  33.92  100
2.598  34.53  98
1.852  49.19  35
1.508  61.48  35
1.382  67.80  27

---

No. 3
Structure and calculated X-ray diffraction stick pattern of PrNd6Dy (a PBE-relaxed structure; CuKα).
Kinematic intensities with the Lorentz-polarization factor, no thermal factor.

Cell and atoms:
Cell: 8.983 8.209 6.351 Å, 74.98 61.96 43.06°
Fractional positions:
Pr 0.000 0.000 0.000
Nd 0.124 0.124 0.376
Nd 0.251 0.251 0.749
Nd 0.376 0.376 0.124
Nd 0.624 0.624 0.876
Nd 0.749 0.749 0.251
Nd 0.876 0.876 0.624
Dy 0.500 0.500 0.500

Top 6 peaks for 2θ from 10° to 80°, by angle:
d (Å)  Position (°2θ)  Rel. int.
2.996  29.82  100
2.597  34.53  34
2.589  34.64  17
1.834  49.72  24
1.566  58.99  29
1.562  59.14  14

---

No. 4
Structure and calculated X-ray diffraction stick pattern of LiPm2B2O6 (a PBE-relaxed structure; CuKα).
Kinematic intensities with the Lorentz-polarization factor, no thermal factor.

Cell and atoms:
Cell: 5.156 5.156 7.096 Å, 90.00 90.00 120.00°
Fractional positions:
Li 0.000 0.000 0.000
Pm 0.333 0.667 0.781
Pm 0.667 0.333 0.219
B 0.333 0.667 0.190
B 0.667 0.333 0.810
O 0.125 0.365 0.182
O 0.240 0.875 0.182
O 0.365 0.240 0.818
O 0.635 0.760 0.182
O 0.760 0.125 0.818
O 0.875 0.635 0.818

Top 6 peaks for 2θ from 10° to 80°, by angle:
d (Å)  Position (°2θ)  Rel. int.
4.465  19.88  39
3.779  23.54  100
3.548  25.10  42
2.578  34.80  34
2.130  42.45  46
2.086  43.39  32

---

No. 5
Structure and calculated X-ray diffraction stick pattern of Pr7PN5 (a PBE-relaxed structure; CuKα).
Kinematic intensities with the Lorentz-polarization factor, no thermal factor.

Cell and atoms:
Cell: 6.449 6.449 22.182 Å, 90.00 90.00 145.96°
Fractional positions:
Pr 0.022 0.978 0.750
Pr 0.137 0.863 0.032
Pr 0.137 0.863 0.468
Pr 0.320 0.680 0.666
Pr 0.320 0.680 0.834
Pr 0.415 0.585 0.102
Pr 0.415 0.585 0.398
Pr 0.585 0.415 0.602
Pr 0.585 0.415 0.898
Pr 0.680 0.320 0.166
Pr 0.680 0.320 0.334
Pr 0.863 0.137 0.532
Pr 0.863 0.137 0.968
Pr 0.978 0.022 0.250
P 0.301 0.699 0.250
P 0.699 0.301 0.750
N 0.051 0.949 0.143
N 0.051 0.949 0.357
N 0.225 0.775 0.573
N 0.225 0.775 0.927
N 0.500 0.500 0.000
N 0.500 0.500 0.500
N 0.775 0.225 0.073
N 0.775 0.225 0.427
N 0.949 0.051 0.643
N 0.949 0.051 0.857

Top 6 peaks for 2θ from 10° to 80°, by angle:
d (Å)  Position (°2θ)  Rel. int.
3.025  29.53  97
2.819  31.75  100
2.800  31.96  48
2.697  33.22  88
2.603  34.46  59
1.888  48.19  50